Diffraction record for Na2Mo3O13. The XRD peak list is computed, not measured: it uses the PBE+U geometry in Alexandria and copper Kα.

Most intense lines, 10 to 90 degrees two-theta, by angle:
d_spacing	Position (°2θ)	Rel. int.	h k l
8.515	10.39	1000	0 0 1
8.265	10.70	351	2 0 -1
6.926	12.78	248	2 0 0
3.460	25.75	417	4 0 0
3.380	26.37	259	4 0 -3
3.103	28.77	302	1 1 1
3.078	29.01	291	3 1 -1
2.946	30.34	329	1 1 -2
2.700	33.18	191	4 0 1
1.827	49.93	271	0 2 0

```
data_Na2Mo3O13
_symmetry_space_group_name_H-M 'C 1 m 1'
_symmetry_Int_Tables_number 8
_symmetry_space_group_name_Hall 'C -2y'
_cell_length_a 17.152
_cell_length_b 3.655
_cell_length_c 10.543
_cell_angle_alpha 90.00
_cell_angle_beta 126.13
_cell_angle_gamma 90.00
loop_
_atom_site_label
_atom_site_type_symbol
_atom_site_fract_x
_atom_site_fract_y
_atom_site_fract_z
Na1 Na 0.000 0.000 0.000
Na2 Na 0.205 0.500 0.672
Mo1 Mo 0.218 0.500 0.304
Mo2 Mo 0.239 0.000 0.033
Mo3 Mo 0.454 0.500 0.344
O1 O 0.068 0.000 0.523
O2 O 0.099 0.500 0.126
O3 O 0.115 0.000 0.917
O4 O 0.198 0.500 0.446
O5 O 0.236 0.000 0.260
O6 O 0.263 0.000 0.894
O7 O 0.271 0.500 0.108
O8 O 0.366 0.500 0.747
O9 O 0.367 0.500 0.427
O10 O 0.371 0.000 0.744
O11 O 0.403 0.000 0.287
O12 O 0.426 0.000 0.589
O13 O 0.477 0.500 0.203
```